This entry pairs a crystal structure of La4Te2AuSe with its computed XRD peak list. Radiation: Cu Ka. Structure: a DFT-relaxed cell (GGA-PBE, Alexandria).
No peak broadening, texture or thermal motion is included.

Most intense lines, 5 to 70 degrees two-theta, in order of falling intensity:
| 2theta | I/Imax |
| --- | --- |
| 28.27 | 100 |
| 27.99 | 52 |
| 40.34 | 39 |
| 40.07 | 38 |
| 50.53 | 21 |
| 39.64 | 19 |
| 41.17 | 18 |
| 65.83 | 17 |
| 58.48 | 12 |
| 49.45 | 11 |

Structure:
Cell: 7.7979 4.3850 7.8656 Å, 90.00 109.00 90.00°
Atoms (fractional coordinates):
La1 0.2396 0.0000 0.2340
La2 0.2588 0.5000 0.7692
La3 0.7412 0.5000 0.2308
La4 0.7604 0.0000 0.7660
Te1 0.0000 0.0000 0.5000
Te2 0.5000 0.5000 0.5000
Au1 0.5000 0.0000 0.0000
Se1 0.0000 0.5000 0.0000


This entry pairs a crystal structure of Tb2ScCo9 with its computed XRD peak list. Radiation: Cu Ka. Structure: a DFT-relaxed cell (GGA-PBE, Alexandria).
No peak broadening, texture or thermal motion is included.

Most intense lines, 5 to 70 degrees two-theta, in order of falling intensity:
| 2theta | I/Imax |
| --- | --- |
| 43.02 | 100 |
| 36.63 | 55 |
| 33.17 | 47 |
| 36.17 | 45 |
| 42.72 | 40 |
| 46.60 | 36 |
| 46.03 | 36 |
| 10.84 | 33 |
| 25.52 | 31 |
| 45.17 | 29 |

Structure:
Cell: 8.6405 8.6405 8.6405 Å, 32.99 32.99 32.99°
Atoms (fractional coordinates):
Tb1 0.1386 0.1386 0.1386
Tb2 0.8614 0.8614 0.8614
Sc1 0.0000 0.0000 0.0000
Co1 0.0787 0.5805 0.5805
Co2 0.3343 0.3343 0.3343
Co3 0.4195 0.4195 0.9213
Co4 0.4195 0.9213 0.4195
Co5 0.5000 0.5000 0.5000
Co6 0.5805 0.0787 0.5805
Co7 0.5805 0.5805 0.0787
Co8 0.6657 0.6657 0.6657
Co9 0.9213 0.4195 0.4195


This entry pairs a crystal structure of TmIn2Se4 with its computed XRD peak list. Radiation: Cu Ka. Structure: a DFT-relaxed cell (GGA-PBE, Alexandria).
No peak broadening, texture or thermal motion is included.

Most intense lines, 5 to 70 degrees two-theta, in order of falling intensity:
| 2theta | I/Imax |
| --- | --- |
| 25.00 | 100 |
| 41.40 | 76 |
| 49.03 | 31 |
| 20.35 | 18 |
| 48.87 | 16 |
| 14.37 | 15 |
| 65.97 | 12 |
| 35.67 | 10 |
| 32.41 | 9 |
| 60.07 | 8 |

Structure:
Cell: 6.1604 6.1604 6.1851 Å, 90.00 90.00 90.00°
Atoms (fractional coordinates):
Tm1 0.0000 0.0000 0.0000
In1 0.0000 0.5000 0.5000
In2 0.5000 0.0000 0.5000
Se1 0.2622 0.2622 0.2391
Se2 0.2622 0.7378 0.7609
Se3 0.7378 0.2622 0.7609
Se4 0.7378 0.7378 0.2391


This entry pairs a crystal structure of CaP3Rh4 with its computed XRD peak list. Radiation: Cu Ka. Structure: a DFT-relaxed cell (GGA-PBE, Alexandria).
No peak broadening, texture or thermal motion is included.

Most intense lines, 5 to 70 degrees two-theta, in order of falling intensity:
| 2theta | I/Imax |
| --- | --- |
| 39.65 | 100 |
| 48.06 | 99 |
| 45.38 | 90 |
| 31.66 | 67 |
| 33.81 | 64 |
| 11.57 | 64 |
| 23.26 | 49 |
| 35.19 | 38 |
| 58.70 | 34 |
| 66.13 | 28 |

Structure:
Cell: 3.9967 3.9967 7.6498 Å, 90.00 90.00 90.00°
Atoms (fractional coordinates):
Ca1 0.0000 0.0000 0.0000
P1 0.0000 0.0000 0.5000
P2 0.5000 0.5000 0.1516
P3 0.5000 0.5000 0.8484
Rh1 0.0000 0.5000 0.3158
Rh2 0.0000 0.5000 0.6842
Rh3 0.5000 0.0000 0.3158
Rh4 0.5000 0.0000 0.6842


This entry pairs a crystal structure of Ce2AgF8 with its computed XRD peak list. Radiation: Cu Ka. Structure: a DFT-relaxed cell (GGA-PBE, Alexandria).
No peak broadening, texture or thermal motion is included.

Most intense lines, 5 to 70 degrees two-theta, in order of falling intensity:
| 2theta | I/Imax |
| --- | --- |
| 23.37 | 100 |
| 27.95 | 100 |
| 29.89 | 83 |
| 24.96 | 77 |
| 42.64 | 53 |
| 44.53 | 48 |
| 46.63 | 41 |
| 30.99 | 33 |
| 47.46 | 29 |
| 48.40 | 29 |

Structure:
Cell: 7.8068 7.8068 5.7835 Å, 108.05 108.05 28.41°
Atoms (fractional coordinates):
Ce1 0.1728 0.1728 0.1863
Ce2 0.8272 0.8272 0.8137
Ag1 0.5000 0.5000 0.5000
F1 0.0469 0.0469 0.2956
F2 0.2153 0.2153 0.8362
F3 0.3124 0.3124 0.5321
F4 0.3981 0.3981 0.0186
F5 0.6019 0.6019 0.9814
F6 0.6876 0.6876 0.4679
F7 0.7847 0.7847 0.1638
F8 0.9531 0.9531 0.7044


This entry pairs a crystal structure of Sm4DyY4 with its computed XRD peak list. Radiation: Cu Ka. Structure: a DFT-relaxed cell (GGA-PBE, Alexandria).
No peak broadening, texture or thermal motion is included.

Most intense lines, 5 to 70 degrees two-theta, in order of falling intensity:
| 2theta | I/Imax |
| --- | --- |
| 30.46 | 100 |
| 35.32 | 45 |
| 30.55 | 33 |
| 60.49 | 28 |
| 50.83 | 24 |
| 60.38 | 23 |
| 35.39 | 22 |
| 50.92 | 16 |
| 63.39 | 12 |
| 50.75 | 8 |

Structure:
Cell: 6.2114 6.2273 8.0286 Å, 75.13 82.76 80.39°
Atoms (fractional coordinates):
Sm1 0.0553 0.2790 0.3895
Sm2 0.1670 0.8336 0.1679
Sm3 0.8330 0.1664 0.8321
Sm4 0.9447 0.7210 0.6105
Dy1 0.5000 0.5000 0.5000
Y1 0.2780 0.3890 0.9445
Y2 0.3889 0.9442 0.7223
Y3 0.6111 0.0558 0.2777
Y4 0.7220 0.6110 0.0555


Copy entry 4 word for word.
This entry pairs a crystal structure of CaP3Rh4 with its computed XRD peak list. Radiation: Cu Ka. Structure: a DFT-relaxed cell (GGA-PBE, Alexandria).
No peak broadening, texture or thermal motion is included.

Most intense lines, 5 to 70 degrees two-theta, in order of falling intensity:
| 2theta | I/Imax |
| --- | --- |
| 39.65 | 100 |
| 48.06 | 99 |
| 45.38 | 90 |
| 31.66 | 67 |
| 33.81 | 64 |
| 11.57 | 64 |
| 23.26 | 49 |
| 35.19 | 38 |
| 58.70 | 34 |
| 66.13 | 28 |

Structure:
Cell: 3.9967 3.9967 7.6498 Å, 90.00 90.00 90.00°
Atoms (fractional coordinates):
Ca1 0.0000 0.0000 0.0000
P1 0.0000 0.0000 0.5000
P2 0.5000 0.5000 0.1516
P3 0.5000 0.5000 0.8484
Rh1 0.0000 0.5000 0.3158
Rh2 0.0000 0.5000 0.6842
Rh3 0.5000 0.0000 0.3158
Rh4 0.5000 0.0000 0.6842